No. 1
For In7Te10, the GGA-PBE geometry in Alexandria gives the simulated X-ray diffraction stick pattern in this record (Cu Kα, 1.54184 Å).
No peak broadening, texture or thermal motion is included.

Main lines, low angle first (15 to 90 degrees two-theta):
- 19.91°, intensity 32.4
- 23.99°, intensity 54.4
- 24.56°, intensity 100.0
- 25.58°, intensity 37.4
- 27.04°, intensity 29.7
- 27.21°, intensity 24.5
- 30.11°, intensity 27.1
- 40.84°, intensity 23.8
- 42.41°, intensity 66.7
- 44.85°, intensity 57.7

Atomic structure:
Cell: 10.959 10.959 10.959 Å, 89.00 89.00 89.00°
Element x y z (fractional)
In1 0.073 0.073 0.073
In2 0.078 0.385 0.352
In3 0.165 0.754 0.330
In4 0.246 0.835 0.670
In5 0.330 0.165 0.754
In6 0.352 0.078 0.385
In7 0.385 0.352 0.078
In8 0.615 0.922 0.648
In9 0.648 0.615 0.922
In10 0.670 0.246 0.835
In11 0.754 0.330 0.165
In12 0.835 0.670 0.246
In13 0.922 0.648 0.615
In14 0.927 0.927 0.927
Te1 0.000 0.407 0.593
Te2 0.060 0.725 0.820
Te3 0.071 0.575 0.167
Te4 0.167 0.071 0.575
Te5 0.180 0.275 0.940
Te6 0.275 0.940 0.180
Te7 0.331 0.669 0.500
Te8 0.337 0.337 0.337
Te9 0.407 0.593 0.000
Te10 0.425 0.929 0.833
Te11 0.500 0.331 0.669
Te12 0.575 0.167 0.071
Te13 0.593 0.000 0.407
Te14 0.663 0.663 0.663
Te15 0.669 0.500 0.331
Te16 0.725 0.820 0.060
Te17 0.820 0.060 0.725
Te18 0.833 0.425 0.929
Te19 0.929 0.833 0.425
Te20 0.940 0.180 0.275


No. 2
For Pm12Pr6Sm, the GGA-PBE geometry in Alexandria gives the simulated X-ray diffraction stick pattern in this record (Cu Kα, 1.54184 Å).
No peak broadening, texture or thermal motion is included.

Main lines, low angle first (15 to 90 degrees two-theta):
- 22.79°, intensity 12.4
- 30.30°, intensity 41.9
- 30.61°, intensity 29.0
- 30.76°, intensity 100.0
- 32.20°, intensity 67.0
- 32.42°, intensity 28.9
- 33.96°, intensity 17.0
- 43.86°, intensity 14.3
- 53.61°, intensity 20.1
- 56.60°, intensity 12.4

Atomic structure:
Cell: 8.764 8.764 8.764 Å, 89.36 89.36 89.36°
Element x y z (fractional)
Pm1 0.017 0.359 0.196
Pm2 0.196 0.017 0.359
Pm3 0.222 0.564 0.464
Pm4 0.359 0.196 0.017
Pm5 0.436 0.536 0.778
Pm6 0.464 0.222 0.564
Pm7 0.536 0.778 0.436
Pm8 0.564 0.464 0.222
Pm9 0.641 0.804 0.983
Pm10 0.778 0.436 0.536
Pm11 0.804 0.983 0.641
Pm12 0.983 0.641 0.804
Pr1 0.094 0.262 0.695
Pr2 0.262 0.695 0.094
Pr3 0.305 0.906 0.738
Pr4 0.695 0.094 0.262
Pr5 0.738 0.305 0.906
Pr6 0.906 0.738 0.305
Sm1 0.000 0.000 0.000


No. 3
For Dy4Ag, the GGA-PBE geometry in Alexandria gives the simulated X-ray diffraction stick pattern in this record (Cu Kα, 1.54184 Å).
No peak broadening, texture or thermal motion is included.

Main lines, low angle first (15 to 90 degrees two-theta):
- 31.87°, intensity 51.4
- 32.11°, intensity 61.9
- 32.28°, intensity 66.5
- 33.50°, intensity 100.0
- 34.41°, intensity 50.5
- 39.86°, intensity 16.6
- 44.22°, intensity 15.6
- 49.81°, intensity 15.6
- 53.77°, intensity 21.8
- 55.96°, intensity 15.5

Atomic structure:
Cell: 8.251 6.757 9.704 Å, 56.83 43.28 79.89°
Element x y z (fractional)
Dy1 0.188 0.854 0.021
Dy2 0.229 0.312 0.062
Dy3 0.243 0.757 0.366
Dy4 0.312 0.229 0.396
Dy5 0.616 0.884 0.493
Dy6 0.757 0.243 0.634
Dy7 0.854 0.188 0.938
Dy8 0.884 0.616 0.007
Ag1 0.446 0.446 0.554
Ag2 0.696 0.696 0.804